Computed X-ray diffraction stick pattern
Compound: LiVSiO4
Radiation: Cu Kα (weighted mean of Kα1 and Kα2)
Structure: DFT lattice parameters and positions (GGA+U)

Largest 10 diffraction maxima, in order of falling intensity, 2θ from 10° to 90°:
| index | d/Å | Rel. int. |
| --- | --- | --- |
| 1 0 2 | 3.229 | 100 |
| 1 1 -1 | 4.223 | 75 |
| 2 0 0 | 3.913 | 66 |
| 2 1 -2 | 2.845 | 47 |
| 0 2 0 | 2.728 | 27 |
| 2 3 -2 | 1.597 | 23 |
| 3 2 3 | 1.411 | 17 |
| 0 2 1 | 2.585 | 15 |
| 3 0 2 | 1.949 | 15 |
| 1 0 -2 | 4.108 | 14 |

Structural model:
```
data_LiVSiO4
_chemical_formula_sum 'Li4 V4 Si4 O16'
_space_group_name_H-M_alt 'P 1 c 1'
_space_group_IT_number 7
_cell_length_a 8.1762
_cell_length_b 5.4560
_cell_length_c 8.4421
_cell_angle_alpha 90.00
_cell_angle_beta 106.84
_cell_angle_gamma 90.00
loop_
_space_group_symop_operation_xyz
'x,y,z'
'x,-y,z+1/2'
loop_
_atom_site_label
_atom_site_type_symbol
_atom_site_fract_x
_atom_site_fract_y
_atom_site_fract_z
_atom_site_occupancy
Li1 Li 0.0000 0.1584 0.0000 1
Li2 Li 0.4647 0.3424 0.2833 1
V1 V 0.3558 0.1632 0.9063 1
V2 V 0.8664 0.3358 0.6047 1
Si1 Si 0.2361 0.3354 0.5336 1
Si2 Si 0.7425 0.1615 0.2234 1
O1 O 0.0695 0.1942 0.5623 1
O2 O 0.1932 0.3757 0.9757 1
O3 O 0.3056 0.1855 0.3958 1
O4 O 0.3853 0.3288 0.7151 1
O5 O 0.5480 0.1869 0.0974 1
O6 O 0.7104 0.2800 0.3916 1
O7 O 0.8210 0.1161 0.7651 1
O8 O 0.8777 0.3184 0.1507 1
```